# Cs5ErO4
Calculated PXRD pattern, Cu Kα (weighted mean of Kα1 and Kα2). Input: a crystal structure in Alexandria, relaxed with GGA-PBE.
Peak positions follow from Bragg's law for the DFT cell and can differ from measured ones.

Principal peaks in the range 5° ≤ 2θ ≤ 70°, low angle first:
| 2θ/deg | I/Imax |
| --- | --- |
| 9.30 | 39 |
| 26.25 | 55 |
| 26.32 | 56 |
| 27.52 | 100 |
| 28.17 | 46 |
| 32.57 | 96 |
| 37.85 | 16 |
| 43.59 | 52 |
| 53.72 | 30 |
| 55.77 | 28 |

Structure:
a b c (Å): 19.4168 3.7727 8.0273
angles (deg): 90.00 101.76 90.00
Space group C2/m (No. 12)
Unique sites:
Cs 0.0000 0.0000 0.0000 (multiplicity 2)
Cs 0.1472 0.5000 0.8037 (multiplicity 4)
Cs 0.1486 0.5000 0.3398 (multiplicity 4)
Er 0.0000 0.0000 0.5000 (multiplicity 2)
O 0.0006 0.5000 0.6919 (multiplicity 4)
O 0.1196 0.0000 0.5580 (multiplicity 4)